1.
Diffraction record for KTl2Pb2. The powder diffraction line list is simulated, not measured: it uses the GGA-PBE geometry in Alexandria and λ = 1.5418 Å (Cu Kα).

Atomic structure:
Unit cell a=4.9213 b=4.9428 c=14.9143 alpha=90.00 beta=90.02 gamma=90.00
Sites, in units of the cell vectors:
K (0.2485, 0.2500, 0.2484)
K (0.7515, 0.7500, 0.7516)
Tl (0.2495, 0.7500, 0.9995)
Tl (0.2510, 0.2500, 0.6452)
Tl (0.7490, 0.7500, 0.3548)
Tl (0.7505, 0.2500, 0.0005)
Pb (0.2496, 0.7500, 0.5003)
Pb (0.2509, 0.2500, 0.8631)
Pb (0.7491, 0.7500, 0.1369)
Pb (0.7504, 0.2500, 0.4997)

Principal peaks in the range 2θ = 10–90°, sorted by position:
two_theta	Rel. int.
11.9	50
19.0	68
25.4	25
28.2	100
35.2	92
35.2	55
36.4	34
36.5	33
51.5	19
52.5	24
64.7	23
64.9	23

***

2.
Diffraction record for KPb4W2. The powder diffraction line list is simulated, not measured: it uses the GGA-PBE geometry in Alexandria and λ = 1.5418 Å (Cu Kα).

Atomic structure:
Unit cell a=5.7222 b=5.7222 c=14.5822 alpha=90.00 beta=90.00 gamma=90.00
Sites, in units of the cell vectors:
K (0.0000, 0.0000, 0.0000)
K (0.5000, 0.5000, 0.5000)
Pb (0.0000, 0.0000, 0.2258)
Pb (0.0000, 0.0000, 0.7742)
Pb (0.0000, 0.5000, 0.0000)
Pb (0.0000, 0.5000, 0.5000)
Pb (0.5000, 0.0000, 0.0000)
Pb (0.5000, 0.0000, 0.5000)
Pb (0.5000, 0.5000, 0.2742)
Pb (0.5000, 0.5000, 0.7258)
W (0.0000, 0.0000, 0.4224)
W (0.0000, 0.0000, 0.5776)
W (0.5000, 0.5000, 0.0776)
W (0.5000, 0.5000, 0.9224)

Principal peaks in the range 2θ = 10–90°, sorted by position:
two_theta	Rel. int.
12.1	22
16.6	28
22.0	26
24.4	26
25.2	70
31.3	100
34.5	37
40.1	30
43.4	53
44.8	38
47.3	31
64.2	34

***

3.
Diffraction record for KPbW2. The powder diffraction line list is simulated, not measured: it uses the GGA-PBE geometry in Alexandria and λ = 1.5418 Å (Cu Kα).

Atomic structure:
Unit cell a=3.3764 b=5.1221 c=10.6356 alpha=90.00 beta=90.00 gamma=90.00
Sites, in units of the cell vectors:
K (0.0000, 0.0000, 0.0000)
K (0.5000, 0.5000, 0.0000)
Pb (0.0000, 0.5000, 0.7031)
Pb (0.5000, 0.0000, 0.7031)
W (0.0000, 0.0000, 0.4649)
W (0.0000, 0.5000, 0.2874)
W (0.5000, 0.0000, 0.2874)
W (0.5000, 0.5000, 0.4649)

Principal peaks in the range 2θ = 10–90°, sorted by position:
two_theta	Rel. int.
16.7	9
33.7	14
35.0	30
36.1	100
40.9	34
42.5	11
49.4	9
54.0	12
54.3	9
56.2	9
63.5	18
66.3	10

***

4.
Diffraction record for K4YPb. The powder diffraction line list is simulated, not measured: it uses the GGA-PBE geometry in Alexandria and λ = 1.5418 Å (Cu Kα).

Atomic structure:
Unit cell a=7.2651 b=7.2651 c=7.2651 alpha=60.00 beta=60.00 gamma=60.00
Sites, in units of the cell vectors:
K (0.1235, 0.1235, 0.1235)
K (0.1235, 0.1235, 0.6294)
K (0.1235, 0.6294, 0.1235)
K (0.6294, 0.1235, 0.1235)
Y (0.5000, 0.5000, 0.5000)
Pb (0.7500, 0.7500, 0.7500)

Principal peaks in the range 2θ = 10–90°, sorted by position:
two_theta	Rel. int.
14.9	35
24.5	71
28.8	100
30.1	13
43.1	32
45.9	36
50.2	24
56.7	14
58.9	13
68.3	17
70.4	22
81.1	12

***

5.
Diffraction record for KYPb. The powder diffraction line list is simulated, not measured: it uses the GGA-PBE geometry in Alexandria and λ = 1.5418 Å (Cu Kα).

Atomic structure:
Unit cell a=3.8884 b=4.8065 c=13.9293 alpha=90.07 beta=90.34 gamma=90.00
Sites, in units of the cell vectors:
K (0.0000, 0.0000, 0.0000)
K (0.4828, 0.5007, 0.2748)
Y (0.4890, 0.9773, 0.5493)
Y (0.9937, 0.4779, 0.7255)
Pb (0.4950, 0.9778, 0.7817)
Pb (0.9878, 0.4768, 0.4931)

Principal peaks in the range 2θ = 10–90°, sorted by position:
two_theta	Rel. int.
19.1	35
19.5	56
25.6	55
29.5	65
30.3	100
31.7	20
35.4	32
35.5	33
37.3	40
37.4	30
45.9	22
63.1	24

***

6.
Diffraction record for KYPb2. The powder diffraction line list is simulated, not measured: it uses the GGA-PBE geometry in Alexandria and λ = 1.5418 Å (Cu Kα).

Atomic structure:
Unit cell a=3.6962 b=5.8235 c=5.8241 alpha=90.00 beta=90.01 gamma=90.00
Sites, in units of the cell vectors:
K (0.0000, 0.0000, 0.0000)
Y (0.9978, 0.5000, 0.4987)
Pb (0.4995, 0.0000, 0.4998)
Pb (0.5000, 0.5000, 0.9981)

Principal peaks in the range 2θ = 10–90°, sorted by position:
two_theta	Rel. int.
21.6	34
24.1	13
30.7	58
32.6	100
39.4	16
44.0	22
55.8	43
59.2	18
68.2	12
72.6	10
73.6	10
89.9	12

***

Q: What is the formula in the fifth record?
A: KYPb